[1]
This entry pairs a crystal structure of Pm3SmSn4 with its simulated powder X-ray diffraction pattern. Radiation: CuKα. Structure: the GGA-PBE geometry in Alexandria.
Intensities are scaled so that the largest is 100.

Structural model:
```
Pm3SmSn4
1.0
6.3529 0.0000 0.0000
0.0000 12.6820 0.0000
0.0000 0.0000 6.3544
Pm Sm Sn
6 2 8
direct
0.2500 0.0000 0.2497
0.2500 0.2500 0.7488
0.2500 0.5000 0.2497
0.7500 0.0000 0.7503
0.7500 0.5000 0.7503
0.7500 0.7500 0.2512
0.2500 0.7500 0.7505
0.7500 0.2500 0.2495
0.2500 0.9995 0.7497
0.2500 0.2500 0.2488
0.2500 0.5005 0.7497
0.2500 0.7500 0.2505
0.7500 0.0005 0.2503
0.7500 0.2500 0.7495
0.7500 0.4995 0.2503
0.7500 0.7500 0.7512
```

Top 8 peaks for 10° ≤ 2θ ≤ 90°, sorted by position:
d_spacing  I_rel
3.175  100
2.245  78
1.833  28
1.588  9
1.420  25
1.418  12
1.296  28
1.122  6

---

[2]
This entry pairs a crystal structure of Pm6SmSn6 with its simulated powder X-ray diffraction pattern. Radiation: CuKα. Structure: the GGA-PBE geometry in Alexandria.
Intensities are scaled so that the largest is 100.

Structural model:
```
Pm6SmSn6
1.0
7.3701 0.0000 0.0000
-3.6850 6.3827 0.0000
0.0000 0.0000 9.2251
Pm Sm Sn
6 1 6
direct
0.0000 0.5000 0.2471
0.0000 0.5000 0.7529
0.5000 0.0000 0.2471
0.5000 0.0000 0.7529
0.5000 0.5000 0.2471
0.5000 0.5000 0.7529
0.0000 0.0000 0.5000
0.0000 0.0000 0.1609
0.0000 0.0000 0.8391
0.3333 0.6667 0.0000
0.3333 0.6667 0.5000
0.6667 0.3333 0.0000
0.6667 0.3333 0.5000
```

Top 8 peaks for 10° ≤ 2θ ≤ 90°, sorted by position:
d_spacing  I_rel
3.685  35
3.191  77
2.879  75
2.624  100
1.932  24
1.843  47
1.508  19
1.440  25

---

[3]
This entry pairs a crystal structure of Pm5SmSn8 with its simulated powder X-ray diffraction pattern. Radiation: CuKα. Structure: the GGA-PBE geometry in Alexandria.
Intensities are scaled so that the largest is 100.

Structural model:
```
Pm5SmSn8
1.0
-4.5426 4.5426 5.0898
4.5426 -4.5426 5.0898
4.5426 4.5426 -5.0898
Pm Sm Sn
5 1 8
direct
0.0000 0.0000 0.0000
0.2563 0.1737 0.6484
0.3920 0.7437 0.9174
0.5254 0.6080 0.3516
0.8263 0.4746 0.0826
0.7500 0.2500 0.5000
0.1168 0.4046 0.9380
0.1348 0.4066 0.4198
0.2851 0.8652 0.2718
0.4665 0.1788 0.0620
0.5934 0.0132 0.7282
0.5954 0.5335 0.7123
0.8212 0.8832 0.2877
0.9868 0.7149 0.5802
```

Top 8 peaks for 10° ≤ 2θ ≤ 90°, sorted by position:
d_spacing  I_rel
3.774  26
3.179  100
2.903  95
2.873  65
2.604  83
2.502  72
2.446  62
1.995  27

---

[4]
This entry pairs a crystal structure of Tb3Pm3Sm2 with its simulated powder X-ray diffraction pattern. Radiation: CuKα. Structure: the GGA-PBE geometry in Alexandria.
Intensities are scaled so that the largest is 100.

Structural model:
```
Tb3Pm3Sm2
1.0
5.8053 0.0000 0.0000
0.0000 14.6495 0.0000
-0.0079 0.0000 6.3369
Tb Pm Sm
6 6 4
direct
0.2499 0.0003 0.1657
0.2498 0.2500 0.1659
0.2499 0.4997 0.1657
0.7501 0.9997 0.8343
0.7501 0.5003 0.8343
0.7502 0.7500 0.8341
0.2500 0.1245 0.6659
0.2500 0.3755 0.6659
0.2500 0.7500 0.1663
0.7500 0.2500 0.8337
0.7500 0.6245 0.3341
0.7500 0.8755 0.3341
0.2502 0.6246 0.6676
0.2502 0.8754 0.6676
0.7498 0.1246 0.3324
0.7498 0.3754 0.3324
```

Top 8 peaks for 10° ≤ 2θ ≤ 90°, sorted by position:
d_spacing  I_rel
3.170  24
2.903  25
2.782  100
2.141  16
1.830  20
1.652  21
1.548  23
1.529  16